[1]
Calculated PXRD pattern
Compound: ScTlCo2Se
Radiation: Cu Kα X-rays
Structure: DFT lattice parameters and positions (GGA-PBE)
Kinematic intensities with the Lorentz-polarization factor, no thermal factor.

Crystal structure
Unit cell a=4.819 b=4.819 c=5.090 alpha=90.00 beta=90.00 gamma=90.00
Space group P4/mmm (No. 123)
Inequivalent atoms, fractional coordinates:
Sc 0.000 0.000 0.000 x1
Tl 0.500 0.500 0.500 x1
Co 0.000 0.500 0.000 x2
Se 0.000 0.000 0.500 x1

Main lines, in order of falling intensity (2θ from 10° to 90°):
d = 2.832 Å, rel. 100
d = 2.410 Å, rel. 50
d = 1.750 Å, rel. 37
d = 3.499 Å, rel. 36
d = 2.545 Å, rel. 29
d = 1.460 Å, rel. 26
d = 3.408 Å, rel. 25
d = 1.416 Å, rel. 18
d = 1.704 Å, rel. 17
d = 1.985 Å, rel. 15
d = 1.519 Å, rel. 15
d = 2.039 Å, rel. 12

---

[2]
Calculated PXRD pattern
Compound: Mg2Sc2Fe
Radiation: Cu Kα X-rays
Structure: DFT lattice parameters and positions (GGA-PBE)
Kinematic intensities with the Lorentz-polarization factor, no thermal factor.

Crystal structure
Unit cell a=3.153 b=3.153 c=20.119 alpha=90.00 beta=90.00 gamma=90.00
Space group I4/mmm (No. 139)
Inequivalent atoms, fractional coordinates:
Mg 0.000 0.000 0.195 x4
Sc 0.000 0.000 0.426 x4
Fe 0.000 0.000 0.000 x2

Main lines, in order of falling intensity (2θ from 10° to 90°):
d = 2.482 Å, rel. 100
d = 2.230 Å, rel. 49
d = 2.124 Å, rel. 27
d = 1.331 Å, rel. 24
d = 1.577 Å, rel. 15
d = 1.824 Å, rel. 14
d = 2.177 Å, rel. 12
d = 5.030 Å, rel. 10
d = 1.266 Å, rel. 8
d = 1.494 Å, rel. 7
d = 1.193 Å, rel. 6
d = 1.208 Å, rel. 5

---

[3]
Calculated PXRD pattern
Compound: LiPm2P2N6
Radiation: Cu Kα X-rays
Structure: DFT lattice parameters and positions (GGA-PBE)
Kinematic intensities with the Lorentz-polarization factor, no thermal factor.

Crystal structure
Unit cell a=5.4785 b=5.4785 c=16.9541 alpha=90.00 beta=90.00 gamma=120.00
Space group R-3m (No. 166, hexagonal axes)
Inequivalent atoms, fractional coordinates:
Li 0.0000 0.0000 0.0000 x3
Pm 0.0000 0.0000 0.2058 x6
P 0.0000 0.0000 0.4220 x6
N 0.0017 0.5009 0.2432 x18

Main lines, in order of falling intensity (2θ from 10° to 90°):
d = 2.759 Å, rel. 100
d = 2.739 Å, rel. 96
d = 5.651 Å, rel. 92
d = 4.140 Å, rel. 78
d = 2.465 Å, rel. 60
d = 2.285 Å, rel. 43
d = 1.944 Å, rel. 40
d = 1.585 Å, rel. 37
d = 1.369 Å, rel. 29
d = 1.581 Å, rel. 23
d = 2.157 Å, rel. 18
d = 1.935 Å, rel. 18

---

[4]
Calculated PXRD pattern
Compound: SmSc2S4
Radiation: Cu Kα X-rays
Structure: DFT lattice parameters and positions (GGA-PBE)
Kinematic intensities with the Lorentz-polarization factor, no thermal factor.

Crystal structure
Unit cell a=3.738 b=12.238 c=12.717 alpha=90.00 beta=90.00 gamma=90.00
Space group Cmcm (No. 63)
Inequivalent atoms, fractional coordinates:
Sm 0.000 0.122 0.250 x4
Sc 0.000 0.371 0.064 x8
S 0.000 0.000 0.000 x4
S 0.000 0.271 0.616 x8
S 0.000 0.452 0.250 x4

Main lines, in order of falling intensity (2θ from 10° to 90°):
d = 2.693 Å, rel. 100
d = 3.485 Å, rel. 97
d = 2.529 Å, rel. 83
d = 5.514 Å, rel. 78
d = 1.869 Å, rel. 48
d = 2.072 Å, rel. 46
d = 3.441 Å, rel. 41
d = 1.838 Å, rel. 34
d = 1.949 Å, rel. 32
d = 2.733 Å, rel. 29
d = 6.359 Å, rel. 28
d = 3.116 Å, rel. 26

---

[5]
Calculated PXRD pattern
Compound: K2UCu2Se6
Radiation: Cu Kα X-rays
Structure: DFT lattice parameters and positions (GGA-PBE)
Kinematic intensities with the Lorentz-polarization factor, no thermal factor.

Crystal structure
Unit cell a=7.5062 b=7.5062 c=6.9716 alpha=90.00 beta=90.00 gamma=120.00
Space group P-3 (No. 147)
Inequivalent atoms, fractional coordinates:
K 0.3333 0.6667 0.2842 x2
U 0.0000 0.0000 0.0000 x1
Cu 0.3333 0.6667 0.7869 x2
Se 0.1189 0.3179 0.7567 x6

Main lines, in order of falling intensity (2θ from 10° to 90°):
d = 4.754 Å, rel. 100
d = 2.377 Å, rel. 68
d = 2.946 Å, rel. 62
d = 6.501 Å, rel. 61
d = 3.305 Å, rel. 43
d = 2.317 Å, rel. 40
d = 1.877 Å, rel. 35
d = 6.972 Å, rel. 35
d = 2.008 Å, rel. 32
d = 3.753 Å, rel. 30
d = 1.745 Å, rel. 27
d = 3.072 Å, rel. 27

---

[6]
Calculated PXRD pattern
Compound: Nd2Y7Sc2
Radiation: Cu Kα X-rays
Structure: DFT lattice parameters and positions (GGA-PBE)
Kinematic intensities with the Lorentz-polarization factor, no thermal factor.

Crystal structure
Unit cell a=8.863 b=9.272 c=8.703 alpha=90.00 beta=101.36 gamma=90.00
Space group C2/m (No. 12)
Inequivalent atoms, fractional coordinates:
Nd 0.103 0.000 0.358 x4
Y 0.000 0.500 0.500 x2
Y 0.150 0.500 0.913 x4
Y 0.237 0.187 0.720 x8
Sc 0.000 0.169 0.000 x4

Main lines, in order of falling intensity (2θ from 10° to 90°):
d = 2.786 Å, rel. 100
d = 2.744 Å, rel. 99
d = 2.702 Å, rel. 60
d = 2.842 Å, rel. 35
d = 1.968 Å, rel. 16
d = 1.566 Å, rel. 16
d = 3.170 Å, rel. 16
d = 1.559 Å, rel. 14
d = 3.139 Å, rel. 14
d = 2.483 Å, rel. 14
d = 1.669 Å, rel. 14
d = 4.636 Å, rel. 13

---

[7]
Calculated PXRD pattern
Compound: V4CrW7
Radiation: Cu Kα X-rays
Structure: DFT lattice parameters and positions (GGA-PBE)
Kinematic intensities with the Lorentz-polarization factor, no thermal factor.

Crystal structure
Unit cell a=2.679 b=6.806 c=10.240 alpha=98.85 beta=95.78 gamma=97.96
Space group P1 (No. 1)
Inequivalent atoms, fractional coordinates:
V 0.000 0.000 0.000 x1
V 0.041 0.667 0.328 x1
V 0.437 0.002 0.499 x1
V 0.481 0.670 0.838 x1
Cr 0.481 0.331 0.159 x1
W 0.225 0.997 0.753 x1
W 0.258 0.665 0.083 x1
W 0.683 0.674 0.582 x1
W 0.724 0.336 0.409 x1
W 0.734 0.332 0.922 x1
W 0.793 0.001 0.245 x1
W 0.999 0.337 0.670 x1

Main lines, in order of falling intensity (2θ from 10° to 90°):
d = 2.190 Å, rel. 100
d = 4.379 Å, rel. 70
d = 2.226 Å, rel. 68
d = 2.214 Å, rel. 67
d = 2.185 Å, rel. 46
d = 2.207 Å, rel. 36
d = 2.356 Å, rel. 21
d = 2.575 Å, rel. 19
d = 1.273 Å, rel. 18
d = 1.272 Å, rel. 16
d = 1.262 Å, rel. 15
d = 1.545 Å, rel. 15

---

[8]
Calculated PXRD pattern
Compound: Ca2TlIn
Radiation: Cu Kα X-rays
Structure: DFT lattice parameters and positions (GGA-PBE)
Kinematic intensities with the Lorentz-polarization factor, no thermal factor.

Crystal structure
Unit cell a=12.158 b=3.698 c=5.632 alpha=90.00 beta=108.36 gamma=90.00
Space group Cm (No. 8)
Inequivalent atoms, fractional coordinates:
Ca 0.000 0.000 0.000 x2
Ca 0.212 0.000 0.644 x2
Tl 0.252 0.500 0.165 x2
In 0.460 0.000 0.480 x2

Main lines, in order of falling intensity (2θ from 10° to 90°):
d = 2.819 Å, rel. 100
d = 2.625 Å, rel. 65
d = 4.734 Å, rel. 64
d = 2.667 Å, rel. 48
d = 2.885 Å, rel. 43
d = 5.345 Å, rel. 35
d = 2.782 Å, rel. 34
d = 1.657 Å, rel. 25
d = 2.022 Å, rel. 23
d = 3.521 Å, rel. 22
d = 2.177 Å, rel. 21
d = 5.769 Å, rel. 18

---

[9]
Calculated PXRD pattern
Compound: K2Nd2IrO7
Radiation: Cu Kα X-rays
Structure: DFT lattice parameters and positions (GGA-PBE)
Kinematic intensities with the Lorentz-polarization factor, no thermal factor.

Crystal structure
Unit cell a=5.7654 b=5.7654 c=38.2848 alpha=90.00 beta=90.00 gamma=120.00
Space group R-3c (No. 167, hexagonal axes)
Inequivalent atoms, fractional coordinates:
K 0.0000 0.0000 0.0872 x12
Nd 0.0000 0.0000 0.1908 x12
Ir 0.0000 0.0000 0.0000 x6
O 0.0000 0.0000 0.2500 x6
O 0.0151 0.4231 0.1939 x36

Main lines, in order of falling intensity (2θ from 10° to 90°):
d = 2.883 Å, rel. 100
d = 3.038 Å, rel. 81
d = 6.381 Å, rel. 80
d = 2.091 Å, rel. 39
d = 4.427 Å, rel. 34
d = 2.627 Å, rel. 33
d = 1.693 Å, rel. 31
d = 1.664 Å, rel. 24
d = 2.158 Å, rel. 24
d = 1.727 Å, rel. 17
d = 1.482 Å, rel. 16
d = 2.139 Å, rel. 15

---

[10]
Calculated PXRD pattern
Compound: Pa3BiTe8
Radiation: Cu Kα X-rays
Structure: DFT lattice parameters and positions (GGA-PBE)
Kinematic intensities with the Lorentz-polarization factor, no thermal factor.

Crystal structure
Unit cell a=8.8343 b=8.8343 c=14.2414 alpha=90.00 beta=90.00 gamma=120.00
Space group P6_3mc (No. 186)
Inequivalent atoms, fractional coordinates:
Pa 0.1662 0.3324 0.0000 x6
Bi 0.3333 0.6667 0.2401 x2
Te 0.0000 0.0000 0.1219 x2
Te 0.0006 0.5003 0.1229 x6
Te 0.1641 0.3282 0.3858 x6
Te 0.3333 0.6667 0.8793 x2

Main lines, in order of falling intensity (2θ from 10° to 90°):
d = 2.979 Å, rel. 100
d = 3.370 Å, rel. 80
d = 2.209 Å, rel. 75
d = 6.740 Å, rel. 48
d = 2.285 Å, rel. 45
d = 7.121 Å, rel. 37
d = 2.606 Å, rel. 34
d = 3.754 Å, rel. 33
d = 1.386 Å, rel. 31
d = 1.774 Å, rel. 23
d = 2.017 Å, rel. 20
d = 1.383 Å, rel. 20

---

[11]
Calculated PXRD pattern
Compound: Er5Au2
Radiation: Cu Kα X-rays
Structure: DFT lattice parameters and positions (GGA-PBE)
Kinematic intensities with the Lorentz-polarization factor, no thermal factor.

Crystal structure
Unit cell a=16.380 b=6.779 c=6.904 alpha=90.00 beta=95.54 gamma=90.00
Space group C2/c (No. 15)
Inequivalent atoms, fractional coordinates:
Er 0.000 0.046 0.250 x4
Er 0.094 0.374 0.950 x8
Er 0.224 0.057 0.295 x8
Au 0.111 0.219 0.555 x8

Main lines, in order of falling intensity (2θ from 10° to 90°):
d = 2.606 Å, rel. 100
d = 2.938 Å, rel. 88
d = 2.510 Å, rel. 83
d = 2.762 Å, rel. 81
d = 2.809 Å, rel. 73
d = 2.413 Å, rel. 70
d = 3.061 Å, rel. 55
d = 2.621 Å, rel. 48
d = 4.544 Å, rel. 48
d = 2.889 Å, rel. 40
d = 2.488 Å, rel. 40
d = 3.040 Å, rel. 40